1.
This entry pairs a crystal structure of HgBrO4 with its simulated X-ray powder pattern. Radiation: Cu Kα, 1.54184 Å. Structure: a crystal structure in the Materials Project, relaxed with GGA-PBE.
Intensities are scaled so that the largest is 100.

Atomic structure:
Lattice parameters (Å, degrees): 4.7770 11.8623 7.2989 90.00 90.00 90.00
Space group Pbcm (No. 57)
Symmetry-distinct sites (fractional):
Hg  0.0760  0.2500  0.0000 (multiplicity 4)
Br  0.4996  0.0509  0.2500 (multiplicity 4)
O  0.0832  0.1717  0.7500 (multiplicity 4)
O  0.1461  0.0535  0.2500 (multiplicity 4)
O  0.4205  0.6300  0.0641 (multiplicity 8)

Top 6 peaks for 5° ≤ 2θ ≤ 70°, in order of rising 2θ:
- d 5.931, 14.9 deg, I = 41, (0 2 0)
- d 3.720, 23.9 deg, I = 100, (1 2 0)
- d 3.108, 28.7 deg, I = 80, (0 2 2)
- d 2.900, 30.8 deg, I = 41, (1 0 2)
- d 2.340, 38.5 deg, I = 32, (2 1 0)
- d 2.073, 43.7 deg, I = 35, (1 4 2)



2.
This entry pairs a crystal structure of Hg8Br3O4 with its simulated X-ray powder pattern. Radiation: Cu Kα, 1.54184 Å. Structure: a crystal structure in the Materials Project, relaxed with GGA-PBE.
Intensities are scaled so that the largest is 100.

Atomic structure:
Lattice parameters (Å, degrees): 7.3265 6.4697 43.6064 90.00 95.43 90.00
Space group P2_1/c (No. 14)
Symmetry-distinct sites (fractional):
Hg  0.0069  0.0752  0.1513 (multiplicity 4)
Hg  0.0423  0.6899  0.0088 (multiplicity 4)
Hg  0.1093  0.2309  0.7341 (multiplicity 4)
Hg  0.1135  0.0139  0.3315 (multiplicity 4)
Hg  0.1977  0.7016  0.6938 (multiplicity 4)
Hg  0.2592  0.5879  0.1160 (multiplicity 4)
Hg  0.3003  0.2295  0.8771 (multiplicity 4)
Hg  0.3620  0.6252  0.7791 (multiplicity 4)
Br  0.1796  0.0062  0.0370 (multiplicity 4)
Br  0.1981  0.7316  0.4098 (multiplicity 4)
Br  0.4104  0.1270  0.7803 (multiplicity 4)
O  0.1365  0.5835  0.7457 (multiplicity 4)
O  0.2561  0.0784  0.6948 (multiplicity 4)
O  0.3453  0.5108  0.4156 (multiplicity 4)
O  0.4183  0.1692  0.6865 (multiplicity 4)

Top 6 peaks for 5° ≤ 2θ ≤ 70°, in order of rising 2θ:
- d 7.286, 12.1 deg, I = 100, (1 0 0)
- d 5.406, 16.4 deg, I = 94, (1 0 -6)
- d 3.368, 26.5 deg, I = 62, (1 0 -12)
- d 3.157, 28.3 deg, I = 90, (0 1 12)
- d 2.825, 31.7 deg, I = 71, (1 2 4)
- d 2.671, 33.6 deg, I = 53, (2 0 10)



3.
This entry pairs a crystal structure of HgPb2Br3O2 with its simulated X-ray powder pattern. Radiation: Cu Kα, 1.54184 Å. Structure: a crystal structure in the Materials Project, relaxed with GGA-PBE.
Intensities are scaled so that the largest is 100.

Atomic structure:
Lattice parameters (Å, degrees): 14.8502 14.7308 7.8548 90.00 90.00 90.00
Space group Aea2 (No. 41)
Symmetry-distinct sites (fractional):
Hg  0.1437  0.1651  0.0000 (multiplicity 8)
Pb  0.0764  0.0876  0.4468 (multiplicity 8)
Pb  0.0998  0.4126  0.6330 (multiplicity 8)
Br  0.0009  0.2933  0.2402 (multiplicity 8)
Br  0.2066  0.0207  0.7363 (multiplicity 8)
Br  0.2446  0.2726  0.3758 (multiplicity 8)
O  0.0655  0.0746  0.1454 (multiplicity 8)
O  0.0708  0.4374  0.9168 (multiplicity 8)

Top 6 peaks for 5° ≤ 2θ ≤ 70°, in order of rising 2θ:
- d 6.281, 14.1 deg, I = 75, (1 1 1)
- d 3.632, 24.5 deg, I = 100, (2 3 1)
- d 3.375, 26.4 deg, I = 54, (1 2 2)
- d 2.839, 31.5 deg, I = 95, (3 2 2)
- d 2.712, 33.0 deg, I = 54, (1 5 1)
- d 2.539, 35.3 deg, I = 53, (1 1 3)



4.
This entry pairs a crystal structure of Hg7P4Br6 with its simulated X-ray powder pattern. Radiation: Cu Kα, 1.54184 Å. Structure: a crystal structure in the Materials Project, relaxed with GGA-PBE.
Intensities are scaled so that the largest is 100.

Atomic structure:
Lattice parameters (Å, degrees): 6.1907 20.2882 7.7396 90.00 103.85 90.00
Space group P2_1/c (No. 14)
Symmetry-distinct sites (fractional):
Hg  0.0000  0.0000  0.0000 (multiplicity 2)
Hg  0.0904  0.2321  0.1882 (multiplicity 4)
Hg  0.2171  0.5884  0.9912 (multiplicity 4)
Hg  0.4925  0.6373  0.5786 (multiplicity 4)
P  0.1228  0.1776  0.9098 (multiplicity 4)
P  0.1424  0.6026  0.6641 (multiplicity 4)
Br  0.1859  0.1123  0.4180 (multiplicity 4)
Br  0.3622  0.7115  0.2057 (multiplicity 4)
Br  0.3993  0.5202  0.2781 (multiplicity 4)

Top 6 peaks for 5° ≤ 2θ ≤ 70°, in order of rising 2θ:
- d 4.493, 19.8 deg, I = 31, (1 3 0)
- d 3.876, 22.9 deg, I = 29, (1 4 0)
- d 3.570, 24.9 deg, I = 33, (0 5 1)
- d 3.541, 25.1 deg, I = 30, (1 1 -2)
- d 3.020, 29.6 deg, I = 100, (2 1 -1)
- d 2.929, 30.5 deg, I = 45, (1 5 1)



5.
This entry pairs a crystal structure of Hg2PbS2Br2 with its simulated X-ray powder pattern. Radiation: Cu Kα, 1.54184 Å. Structure: a crystal structure in the Materials Project, relaxed with GGA-PBE.
Intensities are scaled so that the largest is 100.

Atomic structure:
Lattice parameters (Å, degrees): 10.9742 9.2528 14.1948 90.00 114.24 90.00
Space group P2_1/c (No. 14)
Symmetry-distinct sites (fractional):
Hg  0.0419  0.1777  0.1119 (multiplicity 4)
Hg  0.1763  0.0665  0.8258 (multiplicity 4)
Pb  0.3620  0.0894  0.5503 (multiplicity 4)
S  0.1509  0.5322  0.4702 (multiplicity 4)
S  0.2323  0.1733  0.6965 (multiplicity 4)
Br  0.1205  0.0719  0.3825 (multiplicity 4)
Br  0.4548  0.6958  0.0448 (multiplicity 4)

Top 6 peaks for 5° ≤ 2θ ≤ 70°, in order of rising 2θ:
- d 10.007, 8.8 deg, I = 33, (1 0 0)
- d 6.794, 13.0 deg, I = 64, (1 1 0)
- d 5.425, 16.3 deg, I = 100, (1 1 1)
- d 3.307, 27.0 deg, I = 46, (1 2 -3)
- d 3.081, 29.0 deg, I = 32, (2 2 1)
- d 2.949, 30.3 deg, I = 31, (1 3 0)



6.
This entry pairs a crystal structure of Rb2HgSbBr6 with its simulated X-ray powder pattern. Radiation: Cu Kα, 1.54184 Å. Structure: a crystal structure in the Materials Project, relaxed with GGA-PBE.
Intensities are scaled so that the largest is 100.

Atomic structure:
Lattice parameters (Å, degrees): 11.5796 11.5796 11.5796 90.00 90.00 90.00
Space group Fm-3m (No. 225)
Symmetry-distinct sites (fractional):
Rb  0.2500  0.2500  0.2500 (multiplicity 8)
Hg  0.0000  0.0000  0.0000 (multiplicity 4)
Sb  0.0000  0.0000  0.5000 (multiplicity 4)
Br  0.0000  0.0000  0.2575 (multiplicity 24)

Top 6 peaks for 5° ≤ 2θ ≤ 70°, in order of rising 2θ:
- d 5.790, 15.3 deg, I = 54, (2 0 0)
- d 4.094, 21.7 deg, I = 54, (2 2 0)
- d 2.895, 30.9 deg, I = 100, (4 0 0)
- d 2.589, 34.6 deg, I = 29, (4 2 0)
- d 2.364, 38.1 deg, I = 25, (4 2 2)
- d 2.047, 44.2 deg, I = 73, (4 4 0)



7.
This entry pairs a crystal structure of Rb2ScHgBr6 with its simulated X-ray powder pattern. Radiation: Cu Kα, 1.54184 Å. Structure: a crystal structure in the Materials Project, relaxed with GGA-PBE.
Intensities are scaled so that the largest is 100.

Atomic structure:
Lattice parameters (Å, degrees): 11.4030 11.4030 11.4030 90.00 90.00 90.00
Space group Fm-3m (No. 225)
Symmetry-distinct sites (fractional):
Rb  0.2500  0.2500  0.2500 (multiplicity 8)
Sc  0.0000  0.0000  0.0000 (multiplicity 4)
Hg  0.0000  0.0000  0.5000 (multiplicity 4)
Br  0.0000  0.0000  0.2337 (multiplicity 24)

Top 6 peaks for 5° ≤ 2θ ≤ 70°, in order of rising 2θ:
- d 5.702, 15.5 deg, I = 39, (2 0 0)
- d 4.032, 22.0 deg, I = 40, (2 2 0)
- d 3.292, 27.1 deg, I = 42, (2 2 2)
- d 2.851, 31.4 deg, I = 100, (4 0 0)
- d 2.016, 45.0 deg, I = 70, (4 4 0)
- d 1.646, 55.9 deg, I = 24, (4 4 4)